# 1
Starting from DFT lattice parameters and positions (PBE), the X-ray diffraction stick pattern of Li2Al2Zn3 was simulated for Cu Kα (λ = 1.5418 Å).
Kinematic intensities with the Lorentz-polarization factor, no thermal factor.

Peak list (10 most intense, 2θ = 15–90°, in order of falling intensity)
(3 1 -1), 2θ 38.7, 2.326 Å, rel. 100; (1 1 2), 2θ 45.6, 1.989 Å, rel. 71; (2 0 -3), 2θ 39.5, 2.283 Å, rel. 47; (4 0 1), 2θ 40.7, 2.217 Å, rel. 43; (2 0 -2), 2θ 26.5, 3.368 Å, rel. 38; (1 1 1), 2θ 36.5, 2.461 Å, rel. 30; (6 0 -2), 2θ 46.2, 1.963 Å, rel. 29; (3 1 0), 2θ 39.7, 2.270 Å, rel. 25; (9 1 -3), 2θ 80.6, 1.192 Å, rel. 21; (5 1 -4), 2θ 66.1, 1.413 Å, rel. 19

Structure:
a = 12.016 Å, b = 2.888 Å, c = 6.851 Å
α = 90.00°, β = 113.55°, γ = 90.00°
Space group C2/m (No. 12)
Unique sites:
1 Li 0.138 0.000 0.421 (multiplicity 4)
2 Al 0.078 0.500 0.720 (multiplicity 4)
3 Zn 0.000 0.000 0.000 (multiplicity 2)
4 Zn 0.215 0.500 0.149 (multiplicity 4)

# 2
Starting from DFT lattice parameters and positions (PBE), the X-ray diffraction stick pattern of Hf4GeSb was simulated for Cu Kα (λ = 1.5418 Å).
Kinematic intensities with the Lorentz-polarization factor, no thermal factor.

Peak list (10 most intense, 2θ = 15–90°, in order of falling intensity)
(2 1 1), 2θ 34.0, 2.638 Å, rel. 100; (3 1 0), 2θ 42.8, 2.115 Å, rel. 31; (1 1 2), 2θ 37.3, 2.408 Å, rel. 24; (2 1 3), 2θ 58.3, 1.583 Å, rel. 22; (2 0 2), 2θ 42.1, 2.146 Å, rel. 19; (3 3 2), 2θ 68.3, 1.373 Å, rel. 16; (4 0 2), 2θ 65.0, 1.435 Å, rel. 13; (0 0 2), 2θ 32.0, 2.797 Å, rel. 13; (5 2 1), 2θ 79.0, 1.212 Å, rel. 12; (3 1 4), 2θ 82.7, 1.167 Å, rel. 10

Structure:
a = 6.688 Å, b = 6.688 Å, c = 5.595 Å
α = 90.00°, β = 90.00°, γ = 90.00°
Space group P4/mcc (No. 124)
Unique sites:
1 Hf 0.144 0.336 0.000 (multiplicity 8)
2 Ge 0.000 0.000 0.250 (multiplicity 2)
3 Sb 0.500 0.500 0.250 (multiplicity 2)